The following is a theoretical powder X-ray diffraction pattern of MgSi2B12. It was derived from a DFT-relaxed cell (GGA-PBE, the Materials Project), using Cu Kα X-rays.
Peak positions follow from Bragg's law for the DFT cell and can differ from measured ones.

Most intense lines, 15° ≤ 2θ ≤ 90°, in order of rising 2θ:
d [Å]	Position (°2θ)	Rel. int.
3.304	26.99	62.0
3.063	29.16	64.4
2.951	30.29	95.6
2.757	32.47	29.2
2.677	33.47	100.0
2.093	43.23	86.4
1.954	46.48	38.3
1.732	52.87	40.2
1.576	58.57	36.8
1.476	63.00	31.6

Structural model:
a b c (Å): 11.0293 6.1252 8.3968
angles (deg): 90.00 90.00 90.00
Sites, in units of the cell vectors:
Mg (0.0701, 0.2500, 0.1591)
Mg (0.4299, 0.7500, 0.6591)
Mg (0.5701, 0.2500, 0.3409)
Mg (0.9299, 0.7500, 0.8409)
Si (0.0815, 0.2500, 0.8678)
Si (0.0847, 0.7500, 0.6012)
Si (0.4153, 0.2500, 0.1012)
Si (0.4185, 0.7500, 0.3678)
Si (0.5815, 0.2500, 0.6322)
Si (0.5847, 0.7500, 0.8988)
Si (0.9153, 0.2500, 0.3988)
Si (0.9185, 0.7500, 0.1322)
B (0.0973, 0.7500, 0.0570)
B (0.1007, 0.2500, 0.4456)
B (0.1478, 0.7500, 0.8454)
B (0.1535, 0.2500, 0.6488)
B (0.1694, 0.5151, 0.9669)
B (0.1694, 0.9849, 0.9669)
B (0.1730, 0.0174, 0.5302)
B (0.1730, 0.4826, 0.5302)
B (0.2083, 0.5922, 0.1664)
B (0.2083, 0.9078, 0.1664)
B (0.2130, 0.0910, 0.3335)
B (0.2130, 0.4090, 0.3335)
B (0.2870, 0.5910, 0.8335)
B (0.2870, 0.9090, 0.8335)
B (0.2917, 0.0922, 0.6664)
B (0.2917, 0.4078, 0.6664)
B (0.3270, 0.5174, 0.0302)
B (0.3270, 0.9826, 0.0302)
B (0.3306, 0.0151, 0.4669)
B (0.3306, 0.4849, 0.4669)
B (0.3465, 0.7500, 0.1488)
B (0.3522, 0.2500, 0.3454)
B (0.3993, 0.7500, 0.9456)
B (0.4027, 0.2500, 0.5570)
B (0.5973, 0.7500, 0.4430)
B (0.6007, 0.2500, 0.0544)
B (0.6478, 0.7500, 0.6546)
B (0.6535, 0.2500, 0.8512)
B (0.6694, 0.5151, 0.5331)
B (0.6694, 0.9849, 0.5331)
B (0.6730, 0.0174, 0.9698)
B (0.6730, 0.4826, 0.9698)
B (0.7083, 0.5922, 0.3336)
B (0.7083, 0.9078, 0.3336)
B (0.7130, 0.0910, 0.1665)
B (0.7130, 0.4090, 0.1665)
B (0.7870, 0.5910, 0.6665)
B (0.7870, 0.9090, 0.6665)
B (0.7917, 0.0922, 0.8336)
B (0.7917, 0.4078, 0.8336)
B (0.8270, 0.5174, 0.4698)
B (0.8270, 0.9826, 0.4698)
B (0.8306, 0.0151, 0.0331)
B (0.8306, 0.4849, 0.0331)
B (0.8465, 0.7500, 0.3512)
B (0.8522, 0.2500, 0.1546)
B (0.8993, 0.7500, 0.5544)
B (0.9027, 0.2500, 0.9430)

=====

The following is a theoretical powder X-ray diffraction pattern of Cs2H6Pt. It was derived from a DFT-relaxed cell (GGA-PBE, the Materials Project), using Cu Kα X-rays.
Peak positions follow from Bragg's law for the DFT cell and can differ from measured ones.

Most intense lines, 15° ≤ 2θ ≤ 90°, in order of rising 2θ:
d [Å]	Position (°2θ)	Rel. int.
5.236	16.93	41.0
3.207	27.82	100.0
2.735	32.75	23.5
2.267	39.75	19.7
2.081	43.49	10.5
1.851	49.22	41.1
1.745	52.42	8.6
1.603	57.48	13.2
1.434	65.04	18.3
1.212	79.00	21.2

Structural model:
a b c (Å): 6.4131 6.4131 6.4131
angles (deg): 60.00 60.00 60.00
Sites, in units of the cell vectors:
Cs (0.2500, 0.2500, 0.2500)
Cs (0.7500, 0.7500, 0.7500)
H (0.1831, 0.1831, 0.8169)
H (0.1831, 0.8169, 0.1831)
H (0.1831, 0.8169, 0.8169)
H (0.8169, 0.1831, 0.1831)
H (0.8169, 0.1831, 0.8169)
H (0.8169, 0.8169, 0.1831)
Pt (0.0000, 0.0000, 0.0000)

=====

The following is a theoretical powder X-ray diffraction pattern of TiCuSiAs. It was derived from a DFT-relaxed cell (GGA-PBE, the Materials Project), using Cu Kα X-rays.
Peak positions follow from Bragg's law for the DFT cell and can differ from measured ones.

Most intense lines, 15° ≤ 2θ ≤ 90°, in order of rising 2θ:
d [Å]	Position (°2θ)	Rel. int.
2.825	31.67	25.2
2.311	38.98	14.0
2.215	40.73	100.0
1.952	46.51	11.5
1.940	46.84	20.7
1.785	51.18	31.0
1.412	66.16	10.7
1.314	71.87	12.9
1.108	88.17	10.8
1.097	89.35	19.3

Structural model:
a b c (Å): 3.5694 3.5694 9.2428
angles (deg): 90.00 90.00 90.00
Sites, in units of the cell vectors:
Ti (0.2500, 0.2500, 0.2167)
Ti (0.7500, 0.7500, 0.7833)
Cu (0.2500, 0.7500, 0.5000)
Cu (0.7500, 0.2500, 0.5000)
Si (0.2500, 0.7500, 0.0000)
Si (0.7500, 0.2500, 0.0000)
As (0.2500, 0.2500, 0.6929)
As (0.7500, 0.7500, 0.3071)

=====

The following is a theoretical powder X-ray diffraction pattern of CaMg6Cd. It was derived from a DFT-relaxed cell (GGA-PBE, the Materials Project), using Cu Kα X-rays.
Peak positions follow from Bragg's law for the DFT cell and can differ from measured ones.

Most intense lines, 15° ≤ 2θ ≤ 90°, in order of rising 2θ:
d [Å]	Position (°2θ)	Rel. int.
5.733	15.46	46.1
3.851	23.09	32.0
2.866	31.21	27.7
2.791	32.07	16.7
2.601	34.48	24.3
2.510	35.77	100.0
1.926	47.19	16.9
1.653	55.60	11.4
1.483	62.62	18.0
1.395	67.09	12.5

Structural model:
a b c (Å): 5.2016 6.6124 6.6124
angles (deg): 60.17 90.00 90.00
Sites, in units of the cell vectors:
Ca (0.0000, 0.0000, 0.0000)
Mg (0.0000, 0.5040, 0.9974)
Mg (0.0000, 0.5050, 0.5050)
Mg (0.0000, 0.9974, 0.5040)
Mg (0.5000, 0.3360, 0.3360)
Mg (0.5000, 0.3454, 0.8315)
Mg (0.5000, 0.8315, 0.3454)
Cd (0.5000, 0.8331, 0.8331)

=====

The following is a theoretical powder X-ray diffraction pattern of Ti9Zn2O13. It was derived from a DFT-relaxed cell (GGA-PBE, the Materials Project), using Cu Kα X-rays.
Peak positions follow from Bragg's law for the DFT cell and can differ from measured ones.

Most intense lines, 15° ≤ 2θ ≤ 90°, in order of rising 2θ:
d [Å]	Position (°2θ)	Rel. int.
2.579	34.78	88.0
2.567	34.95	33.9
2.545	35.27	74.7
2.469	36.39	82.6
2.138	42.28	64.6
2.113	42.79	100.0
2.059	43.98	59.0
2.026	44.73	41.2
1.506	61.60	33.2
1.480	62.79	44.1

Structural model:
a b c (Å): 5.1522 5.1522 16.7098
angles (deg): 98.97 98.97 33.38
Sites, in units of the cell vectors:
Ti (0.0000, 0.0000, 0.0000)
Ti (0.1536, 0.1536, 0.5362)
Ti (0.2638, 0.2638, 0.9252)
Ti (0.4310, 0.4310, 0.6171)
Ti (0.4896, 0.4896, 0.8367)
Ti (0.5104, 0.5104, 0.1633)
Ti (0.5690, 0.5690, 0.3829)
Ti (0.7362, 0.7362, 0.0748)
Ti (0.8464, 0.8464, 0.4638)
Zn (0.2858, 0.2858, 0.2714)
Zn (0.7142, 0.7142, 0.7286)
O (0.0797, 0.0797, 0.6466)
O (0.1268, 0.1268, 0.1221)
O (0.1269, 0.1269, 0.8135)
O (0.2139, 0.2139, 0.4139)
O (0.3685, 0.3685, 0.7294)
O (0.3772, 0.3772, 0.0486)
O (0.5000, 0.5000, 0.5000)
O (0.6228, 0.6228, 0.9514)
O (0.6315, 0.6315, 0.2706)
O (0.7861, 0.7861, 0.5861)
O (0.8731, 0.8731, 0.1865)
O (0.8732, 0.8732, 0.8779)
O (0.9203, 0.9203, 0.3534)

=====

The following is a theoretical powder X-ray diffraction pattern of SrEuS2. It was derived from a DFT-relaxed cell (GGA-PBE, the Materials Project), using Cu Kα X-rays.
Peak positions follow from Bragg's law for the DFT cell and can differ from measured ones.

Most intense lines, 15° ≤ 2θ ≤ 90°, in order of rising 2θ:
d [Å]	Position (°2θ)	Rel. int.
3.615	24.63	6.6
3.463	25.73	59.3
2.999	29.79	100.0
2.121	42.64	72.9
1.808	50.46	30.8
1.731	52.88	25.4
1.499	61.88	11.8
1.341	70.17	32.5
1.224	78.08	18.3
1.154	83.83	7.3

Structural model:
a b c (Å): 7.3528 7.3528 7.3528
angles (deg): 33.51 33.51 33.51
Sites, in units of the cell vectors:
Sr (0.0000, 0.0000, 0.0000)
Eu (0.5000, 0.5000, 0.5000)
S (0.2482, 0.2482, 0.2482)
S (0.7518, 0.7518, 0.7518)

=====

The following is a theoretical powder X-ray diffraction pattern of Ce3Se4. It was derived from a DFT-relaxed cell (GGA-PBE, the Materials Project), using Cu Kα X-rays.
Peak positions follow from Bragg's law for the DFT cell and can differ from measured ones.

Most intense lines, 15° ≤ 2θ ≤ 90°, in order of rising 2θ:
d [Å]	Position (°2θ)	Rel. int.
3.638	24.47	25.2
2.818	31.75	100.0
2.382	37.77	67.6
1.993	45.52	23.6
1.900	47.87	15.8
1.819	50.14	11.4
1.748	52.34	17.3
1.446	64.45	30.3
1.375	68.19	14.5
1.213	78.94	19.0

Structural model:
a b c (Å): 7.7183 7.7183 7.7183
angles (deg): 109.47 109.47 109.47
Sites, in units of the cell vectors:
Ce (0.1250, 0.8750, 0.2500)
Ce (0.2500, 0.1250, 0.8750)
Ce (0.3750, 0.6250, 0.7500)
Ce (0.6250, 0.7500, 0.3750)
Ce (0.7500, 0.3750, 0.6250)
Ce (0.8750, 0.2500, 0.1250)
Se (0.0000, 0.1514, 0.5000)
Se (0.0000, 0.6514, 0.5000)
Se (0.1514, 0.5000, 0.0000)
Se (0.3486, 0.3486, 0.3486)
Se (0.5000, 0.0000, 0.1514)
Se (0.5000, 0.0000, 0.6514)
Se (0.6514, 0.5000, 0.0000)
Se (0.8486, 0.8486, 0.8486)

=====

The following is a theoretical powder X-ray diffraction pattern of Ba2SrI6. It was derived from a DFT-relaxed cell (GGA-PBE, the Materials Project), using Cu Kα X-rays.
Peak positions follow from Bragg's law for the DFT cell and can differ from measured ones.

Most intense lines, 15° ≤ 2θ ≤ 90°, in order of rising 2θ:
d [Å]	Position (°2θ)	Rel. int.
5.250	16.89	19.7
4.645	19.11	28.4
4.029	22.06	17.6
3.810	23.35	26.7
3.769	23.61	32.8
3.461	25.74	17.2
3.352	26.59	41.0
3.001	29.77	16.4
2.949	30.31	100.0
2.411	37.30	16.1

Structural model:
a b c (Å): 13.8255 13.8255 9.1026
angles (deg): 100.71 100.71 33.89
Sites, in units of the cell vectors:
Ba (0.0578, 0.6111, 0.8587)
Ba (0.3889, 0.9422, 0.6413)
Ba (0.6111, 0.0578, 0.3587)
Ba (0.9422, 0.3889, 0.1413)
Sr (0.3342, 0.6658, 0.2500)
Sr (0.6658, 0.3342, 0.7500)
I (0.0550, 0.1241, 0.8262)
I (0.1241, 0.0550, 0.3262)
I (0.2623, 0.2860, 0.0931)
I (0.2860, 0.2623, 0.5931)
I (0.3853, 0.4597, 0.4788)
I (0.4597, 0.3853, 0.9788)
I (0.5403, 0.6147, 0.0212)
I (0.6147, 0.5403, 0.5212)
I (0.7140, 0.7377, 0.4069)
I (0.7377, 0.7140, 0.9069)
I (0.8759, 0.9450, 0.6738)
I (0.9450, 0.8759, 0.1738)

=====

The following is a theoretical powder X-ray diffraction pattern of KCrP2S7. It was derived from a DFT-relaxed cell (GGA-PBE, the Materials Project), using Cu Kα X-rays.
Peak positions follow from Bragg's law for the DFT cell and can differ from measured ones.

Most intense lines, 15° ≤ 2θ ≤ 90°, in order of rising 2θ:
d [Å]	Position (°2θ)	Rel. int.
4.886	18.16	36.2
4.823	18.40	54.9
4.379	20.28	33.8
3.912	22.73	69.7
3.220	27.71	79.5
2.808	31.88	72.7
2.783	32.16	100.0
2.773	32.29	78.3
2.713	33.02	44.9
1.981	45.79	66.8

Structural model:
a b c (Å): 6.5197 6.5197 6.5832
angles (deg): 94.87 94.87 97.09
Sites, in units of the cell vectors:
K (0.0000, 0.0000, 0.0000)
Cr (0.4031, 0.5969, 0.5000)
P (0.5437, 0.0489, 0.4251)
P (0.9511, 0.4563, 0.5749)
S (0.0569, 0.5879, 0.3282)
S (0.2121, 0.4650, 0.7706)
S (0.4121, 0.9431, 0.6718)
S (0.4223, 0.2773, 0.2837)
S (0.5350, 0.7879, 0.2294)
S (0.7227, 0.5777, 0.7163)
S (0.8743, 0.1257, 0.5000)

=====

Please write out number 8 again, unchanged.
The following is a theoretical powder X-ray diffraction pattern of Ba2SrI6. It was derived from a DFT-relaxed cell (GGA-PBE, the Materials Project), using Cu Kα X-rays.
Peak positions follow from Bragg's law for the DFT cell and can differ from measured ones.

Most intense lines, 15° ≤ 2θ ≤ 90°, in order of rising 2θ:
d [Å]	Position (°2θ)	Rel. int.
5.250	16.89	19.7
4.645	19.11	28.4
4.029	22.06	17.6
3.810	23.35	26.7
3.769	23.61	32.8
3.461	25.74	17.2
3.352	26.59	41.0
3.001	29.77	16.4
2.949	30.31	100.0
2.411	37.30	16.1

Structural model:
a b c (Å): 13.8255 13.8255 9.1026
angles (deg): 100.71 100.71 33.89
Sites, in units of the cell vectors:
Ba (0.0578, 0.6111, 0.8587)
Ba (0.3889, 0.9422, 0.6413)
Ba (0.6111, 0.0578, 0.3587)
Ba (0.9422, 0.3889, 0.1413)
Sr (0.3342, 0.6658, 0.2500)
Sr (0.6658, 0.3342, 0.7500)
I (0.0550, 0.1241, 0.8262)
I (0.1241, 0.0550, 0.3262)
I (0.2623, 0.2860, 0.0931)
I (0.2860, 0.2623, 0.5931)
I (0.3853, 0.4597, 0.4788)
I (0.4597, 0.3853, 0.9788)
I (0.5403, 0.6147, 0.0212)
I (0.6147, 0.5403, 0.5212)
I (0.7140, 0.7377, 0.4069)
I (0.7377, 0.7140, 0.9069)
I (0.8759, 0.9450, 0.6738)
I (0.9450, 0.8759, 0.1738)

=====

Please write out number 5 again, unchanged.
The following is a theoretical powder X-ray diffraction pattern of Ti9Zn2O13. It was derived from a DFT-relaxed cell (GGA-PBE, the Materials Project), using Cu Kα X-rays.
Peak positions follow from Bragg's law for the DFT cell and can differ from measured ones.

Most intense lines, 15° ≤ 2θ ≤ 90°, in order of rising 2θ:
d [Å]	Position (°2θ)	Rel. int.
2.579	34.78	88.0
2.567	34.95	33.9
2.545	35.27	74.7
2.469	36.39	82.6
2.138	42.28	64.6
2.113	42.79	100.0
2.059	43.98	59.0
2.026	44.73	41.2
1.506	61.60	33.2
1.480	62.79	44.1

Structural model:
a b c (Å): 5.1522 5.1522 16.7098
angles (deg): 98.97 98.97 33.38
Sites, in units of the cell vectors:
Ti (0.0000, 0.0000, 0.0000)
Ti (0.1536, 0.1536, 0.5362)
Ti (0.2638, 0.2638, 0.9252)
Ti (0.4310, 0.4310, 0.6171)
Ti (0.4896, 0.4896, 0.8367)
Ti (0.5104, 0.5104, 0.1633)
Ti (0.5690, 0.5690, 0.3829)
Ti (0.7362, 0.7362, 0.0748)
Ti (0.8464, 0.8464, 0.4638)
Zn (0.2858, 0.2858, 0.2714)
Zn (0.7142, 0.7142, 0.7286)
O (0.0797, 0.0797, 0.6466)
O (0.1268, 0.1268, 0.1221)
O (0.1269, 0.1269, 0.8135)
O (0.2139, 0.2139, 0.4139)
O (0.3685, 0.3685, 0.7294)
O (0.3772, 0.3772, 0.0486)
O (0.5000, 0.5000, 0.5000)
O (0.6228, 0.6228, 0.9514)
O (0.6315, 0.6315, 0.2706)
O (0.7861, 0.7861, 0.5861)
O (0.8731, 0.8731, 0.1865)
O (0.8732, 0.8732, 0.8779)
O (0.9203, 0.9203, 0.3534)